Record 1
Calculated powder diffractogram
Compound: MnVO2F5
Radiation: Cu Ka
Structure: a cell relaxed with GGA+U
Neutral-atom scattering factors, no anomalous dispersion.

Principal peaks in the range 10 to 90 degrees two-theta, in order of rising 2θ:
2theta	I_rel
15.74	100
18.16	51
23.97	45
27.17	20
28.61	52
28.74	23
31.79	15
49.08	20

Atomic structure:
abc: 7.548 7.548 7.548
angles: 120.85 81.64 129.25
Atoms (fractional coordinates):
Mn  0.000  0.000  0.000
Mn  0.500  0.000  0.500
V  0.500  0.000  0.000
V  0.500  0.500  0.500
O  0.213  0.749  0.464
O  0.214  0.251  0.964
O  0.786  0.749  0.036
O  0.787  0.251  0.536
F  0.193  0.257  0.331
F  0.193  0.862  0.936
F  0.408  0.658  0.750
F  0.426  0.257  0.564
F  0.426  0.862  0.169
F  0.574  0.138  0.831
F  0.574  0.743  0.436
F  0.592  0.342  0.250
F  0.807  0.138  0.064
F  0.807  0.743  0.669


Record 2
Calculated powder diffractogram
Compound: ZrMnO5F6
Radiation: Cu Ka
Structure: a cell relaxed with GGA+U
Neutral-atom scattering factors, no anomalous dispersion.

Principal peaks in the range 10 to 90 degrees two-theta, in order of rising 2θ:
2theta	I_rel
12.18	35
13.04	100
20.76	15
23.45	29
24.67	15
28.17	40
32.75	16
44.99	15

Atomic structure:
abc: 8.125 8.125 8.580
angles: 118.25 118.25 54.21
Atoms (fractional coordinates):
Zr  0.250  0.750  0.000
Zr  0.750  0.250  0.000
Mn  0.228  0.228  0.618
Mn  0.772  0.772  0.382
O  0.020  0.683  0.440
O  0.244  0.244  0.040
O  0.277  0.277  0.490
O  0.317  0.980  0.560
O  0.330  0.330  0.180
O  0.670  0.670  0.820
O  0.683  0.020  0.440
O  0.723  0.723  0.510
O  0.756  0.756  0.960
O  0.980  0.317  0.560
F  0.099  0.099  0.111
F  0.155  0.794  0.202
F  0.167  0.497  0.824
F  0.206  0.845  0.798
F  0.493  0.493  0.133
F  0.497  0.167  0.824
F  0.503  0.833  0.176
F  0.507  0.507  0.867
F  0.794  0.155  0.202
F  0.833  0.503  0.176
F  0.845  0.206  0.798
F  0.901  0.901  0.889


Record 3
Calculated powder diffractogram
Compound: Rb3MnF6
Radiation: Cu Ka
Structure: a cell relaxed with GGA+U
Neutral-atom scattering factors, no anomalous dispersion.

Principal peaks in the range 10 to 90 degrees two-theta, in order of rising 2θ:
2theta	I_rel
27.33	100
33.63	9
39.03	40
48.30	37
56.38	24
63.77	21
70.71	7
77.36	22

Atomic structure:
abc: 6.527 6.527 6.527
angles: 60.00 60.00 60.00
Atoms (fractional coordinates):
Rb  0.000  0.000  0.000
Rb  0.250  0.250  0.250
Rb  0.750  0.750  0.750
Mn  0.500  0.500  0.500
F  0.288  0.288  0.712
F  0.288  0.712  0.288
F  0.288  0.712  0.712
F  0.712  0.288  0.288
F  0.712  0.288  0.712
F  0.712  0.712  0.288


Record 4
Calculated powder diffractogram
Compound: Rb2MnF6
Radiation: Cu Ka
Structure: a cell relaxed with GGA+U
Neutral-atom scattering factors, no anomalous dispersion.

Principal peaks in the range 10 to 90 degrees two-theta, in order of rising 2θ:
2theta	I_rel
17.64	44
29.01	100
35.72	48
41.48	51
51.41	34
60.11	28
68.11	21
82.99	22

Atomic structure:
abc: 6.157 6.157 6.157
angles: 60.00 60.00 60.00
Atoms (fractional coordinates):
Rb  0.250  0.250  0.250
Rb  0.750  0.750  0.750
Mn  0.000  0.000  0.000
F  0.212  0.212  0.788
F  0.212  0.788  0.212
F  0.212  0.788  0.788
F  0.788  0.212  0.212
F  0.788  0.212  0.788
F  0.788  0.788  0.212


Record 5
Calculated powder diffractogram
Compound: Rb2MnF5
Radiation: Cu Ka
Structure: a cell relaxed with GGA+U
Neutral-atom scattering factors, no anomalous dispersion.

Principal peaks in the range 10 to 90 degrees two-theta, in order of rising 2θ:
2theta	I_rel
14.32	58
20.31	23
28.87	36
29.41	100
36.01	56
41.29	42
51.50	36
61.03	24

Atomic structure:
abc: 6.184 6.184 4.220
angles: 90.00 90.00 90.00
Atoms (fractional coordinates):
Rb  0.000  0.500  0.000
Rb  0.500  0.000  0.000
Mn  0.000  0.000  0.500
F  0.000  0.000  0.000
F  0.218  0.218  0.500
F  0.218  0.782  0.500
F  0.782  0.218  0.500
F  0.782  0.782  0.500


Record 6
Calculated powder diffractogram
Compound: Rb2MnF4
Radiation: Cu Ka
Structure: a cell relaxed with GGA+U
Neutral-atom scattering factors, no anomalous dispersion.

Principal peaks in the range 10 to 90 degrees two-theta, in order of rising 2θ:
2theta	I_rel
28.06	100
29.22	74
38.35	22
39.03	32
41.80	48
48.93	21
51.10	38
58.01	24

Atomic structure:
abc: 7.677 7.677 7.677
angles: 147.30 147.30 46.92
Atoms (fractional coordinates):
Rb  0.147  0.147  0.000
Rb  0.853  0.853  0.000
Mn  0.500  0.500  0.000
F  0.000  0.500  0.500
F  0.347  0.347  0.000
F  0.500  0.000  0.500
F  0.653  0.653  0.000


Record 7
Calculated powder diffractogram
Compound: RbMnF4
Radiation: Cu Ka
Structure: a cell relaxed with GGA+U
Neutral-atom scattering factors, no anomalous dispersion.

Principal peaks in the range 10 to 90 degrees two-theta, in order of rising 2θ:
2theta	I_rel
26.38	62
26.62	100
26.75	57
28.98	50
31.69	54
45.35	27
49.93	24
53.57	22

Atomic structure:
abc: 6.165 7.976 7.999
angles: 90.00 90.86 90.00
Atoms (fractional coordinates):
Rb  0.012  0.204  0.253
Rb  0.012  0.296  0.753
Rb  0.988  0.704  0.247
Rb  0.988  0.796  0.747
Mn  0.500  0.000  0.000
Mn  0.500  0.000  0.500
Mn  0.500  0.500  0.000
Mn  0.500  0.500  0.500
F  0.214  0.550  0.552
F  0.214  0.950  0.052
F  0.215  0.564  0.955
F  0.215  0.936  0.455
F  0.405  0.230  0.498
F  0.405  0.270  0.998
F  0.422  0.514  0.268
F  0.422  0.986  0.768
F  0.578  0.014  0.232
F  0.578  0.486  0.732
F  0.595  0.730  0.002
F  0.595  0.770  0.502
F  0.785  0.064  0.545
F  0.785  0.436  0.045
F  0.786  0.050  0.948
F  0.786  0.450  0.448


Record 8
Calculated powder diffractogram
Compound: Rb2MnF6
Radiation: Cu Ka
Structure: a cell relaxed with GGA+U
Neutral-atom scattering factors, no anomalous dispersion.

Principal peaks in the range 10 to 90 degrees two-theta, in order of rising 2θ:
2theta	I_rel
19.12	29
24.72	100
29.43	81
32.04	29
38.80	88
44.06	31
61.07	24
66.95	22

Atomic structure:
abc: 6.069 6.069 9.892
angles: 90.00 90.00 120.00
Atoms (fractional coordinates):
Rb  0.000  0.000  0.000
Rb  0.000  0.000  0.500
Rb  0.333  0.667  0.274
Rb  0.667  0.333  0.774
Mn  0.333  0.667  0.658
Mn  0.667  0.333  0.158
F  0.048  0.524  0.548
F  0.187  0.373  0.761
F  0.187  0.813  0.761
F  0.373  0.187  0.261
F  0.476  0.524  0.548
F  0.476  0.952  0.548
F  0.524  0.048  0.048
F  0.524  0.476  0.048
F  0.627  0.813  0.761
F  0.813  0.187  0.261
F  0.813  0.627  0.261
F  0.952  0.476  0.048


Record 9
Calculated powder diffractogram
Compound: RbZrMnF7
Radiation: Cu Ka
Structure: a cell relaxed with GGA+U
Neutral-atom scattering factors, no anomalous dispersion.

Principal peaks in the range 10 to 90 degrees two-theta, in order of rising 2θ:
2theta	I_rel
26.15	90
26.31	73
26.48	71
27.28	100
42.95	46
46.34	37
47.04	44
47.92	44

Atomic structure:
abc: 6.544 6.544 8.424
angles: 90.00 90.00 117.66
Atoms (fractional coordinates):
Rb  0.000  0.000  0.000
Rb  0.000  0.000  0.500
Zr  0.307  0.693  0.750
Zr  0.693  0.307  0.250
Mn  0.311  0.689  0.250
Mn  0.689  0.311  0.750
F  0.033  0.336  0.250
F  0.054  0.341  0.750
F  0.300  0.700  0.506
F  0.300  0.700  0.994
F  0.336  0.033  0.750
F  0.341  0.054  0.250
F  0.493  0.507  0.750
F  0.507  0.493  0.250
F  0.659  0.946  0.750
F  0.664  0.967  0.250
F  0.700  0.300  0.006
F  0.700  0.300  0.494
F  0.946  0.659  0.250
F  0.967  0.664  0.750


Record 10
Calculated powder diffractogram
Compound: SrMnSbF
Radiation: Cu Ka
Structure: a cell relaxed with GGA+U
Neutral-atom scattering factors, no anomalous dispersion.

Principal peaks in the range 10 to 90 degrees two-theta, in order of rising 2θ:
2theta	I_rel
27.32	100
28.35	26
34.05	54
34.51	18
40.53	46
42.79	19
47.64	18
49.57	38

Atomic structure:
abc: 4.452 4.452 9.604
angles: 90.00 90.00 90.00
Atoms (fractional coordinates):
Sr  0.250  0.250  0.133
Sr  0.750  0.750  0.867
Mn  0.250  0.750  0.500
Mn  0.750  0.250  0.500
Sb  0.250  0.250  0.688
Sb  0.750  0.750  0.312
F  0.250  0.750  0.000
F  0.750  0.250  0.000